Record 1
Computed powder XRD pattern of GdHoNi2Ge4 for Cu Kα (weighted mean of Kα1 and Kα2), from a PBE-relaxed structure.

Largest 12 diffraction maxima, most intense first, 2θ = 5–70°:
2θ = 34.5°, intensity 100, (1 1 3); 2θ = 34.6°, intensity 40, (0 1 5); 2θ = 38.9°, intensity 29, (1 0 6); 2θ = 43.2°, intensity 29, (2 0 0); 2θ = 43.9°, intensity 28, (0 2 0); 2θ = 30.9°, intensity 22, (1 1 1); 2θ = 56.5°, intensity 19, (2 1 5); 2θ = 63.2°, intensity 18, (2 2 0); 2θ = 60.1°, intensity 16, (1 2 6); 2θ = 54.4°, intensity 13, (0 1 9); 2θ = 48.9°, intensity 13, (1 0 8); 2θ = 69.9°, intensity 11, (1 1 11)

Atomic structure:
Lattice parameters (Å, degrees): 4.1919 4.1258 16.6436 90.00 90.00 90.00
Space group Amm2 (No. 38)
One atom of each set of equivalent atoms:
Gd 0.0000 0.0000 0.0000 [2 per cell]
Ho 0.5000 0.0000 0.2160 [2 per cell]
Ni 0.0000 0.0000 0.7872 [2 per cell]
Ni 0.5000 0.0000 0.4280 [2 per cell]
Ge 0.0000 0.0000 0.3584 [2 per cell]
Ge 0.0000 0.0000 0.6496 [2 per cell]
Ge 0.5000 0.0000 0.5666 [2 per cell]
Ge 0.5000 0.0000 0.8563 [2 per cell]



Record 2
Computed powder XRD pattern of GdHoNi2Ge for Cu Kα (weighted mean of Kα1 and Kα2), from a PBE-relaxed structure.

Largest 12 diffraction maxima, most intense first, 2θ = 5–70°:
2θ = 34.2°, intensity 100, (1 1 1); 2θ = 36.8°, intensity 62, (1 0 4); 2θ = 39.4°, intensity 46, (1 1 3); 2θ = 40.9°, intensity 42, (0 1 5); 2θ = 60.1°, intensity 30, (1 2 4); 2θ = 45.8°, intensity 26, (0 2 0); 2θ = 30.3°, intensity 25, (0 1 3); 2θ = 66.9°, intensity 21, (2 1 5); 2θ = 50.5°, intensity 20, (2 0 0); 2θ = 26.9°, intensity 19, (0 0 4); 2θ = 59.9°, intensity 11, (1 1 7); 2θ = 23.4°, intensity 11, (0 1 1)

Atomic structure:
Lattice parameters (Å, degrees): 3.6166 3.9646 13.2586 90.00 90.00 90.00
Space group Amm2 (No. 38)
One atom of each set of equivalent atoms:
Gd 0.0000 0.0000 0.0000 [2 per cell]
Ho 0.0000 0.0000 0.7417 [2 per cell]
Ni 0.5000 0.0000 0.1775 [2 per cell]
Ni 0.5000 0.0000 0.5674 [2 per cell]
Ge 0.5000 0.0000 0.3698 [2 per cell]



Record 3
Computed powder XRD pattern of Gd11In6Ge4 for Cu Kα (weighted mean of Kα1 and Kα2), from a PBE-relaxed structure.

Largest 12 diffraction maxima, most intense first, 2θ = 5–70°:
2θ = 32.2°, intensity 100, (3 2 3); 2θ = 32.7°, intensity 85, (3 3 0); 2θ = 35.8°, intensity 25, (3 0 5); 2θ = 34.5°, intensity 22, (3 3 2); 2θ = 64.9°, intensity 21, (7 2 5); 2θ = 46.8°, intensity 15, (6 0 0); 2θ = 42.2°, intensity 13, (5 0 3); 2θ = 30.7°, intensity 13, (4 0 0); 2θ = 28.2°, intensity 11, (3 0 3); 2θ = 50.6°, intensity 11, (6 1 3); 2θ = 55.9°, intensity 11, (4 4 6); 2θ = 32.7°, intensity 10, (0 0 6)

Atomic structure:
Lattice parameters (Å, degrees): 11.6392 11.6392 16.4105 90.00 90.00 90.00
Space group I4/mmm (No. 139)
One atom of each set of equivalent atoms:
Gd 0.0000 0.0000 0.1649 [4 per cell]
Gd 0.0000 0.2493 0.3137 [16 per cell]
Gd 0.0000 0.3457 0.1006 [16 per cell]
Gd 0.1684 0.1684 0.5000 [8 per cell]
In 0.1286 0.1286 0.0000 [8 per cell]
In 0.2064 0.2064 0.1710 [16 per cell]
Ge 0.0000 0.0000 0.3810 [4 per cell]
Ge 0.0000 0.3465 0.5000 [8 per cell]
Ge 0.0000 0.5000 0.2500 [4 per cell]